Structure and computed powder diffraction line list of Li9Co2O8 (a structure optimized by DFT (PBE+U); a wavelength of 1.5418 Å).
No peak broadening, texture or thermal motion is included.

Atomic structure:
a = 6.395 Å, b = 6.395 Å, c = 4.723 Å
α = 90.74°, β = 90.74°, γ = 89.31°
Element x y z (fractional)
Li: 0.000 0.000 0.000
Li: 0.164 0.327 0.930
Li: 0.198 0.349 0.434
Li: 0.381 0.619 0.000
Li: 0.456 0.110 0.497
Li: 0.651 0.802 0.566
Li: 0.673 0.836 0.070
Li: 0.890 0.544 0.503
Li: 0.896 0.104 0.500
Co: 0.182 0.818 0.500
Co: 0.677 0.323 0.000
O: 0.167 0.573 0.700
O: 0.172 0.092 0.673
O: 0.427 0.833 0.300
O: 0.435 0.330 0.189
O: 0.670 0.565 0.811
O: 0.692 0.077 0.789
O: 0.908 0.828 0.327
O: 0.923 0.308 0.211

Main lines, low angle first (2θ from 5° to 70°):
d [Å]  intensity
4.548  47
4.494  33
3.822  94
3.776  100
3.197  47
2.663  25
2.632  32
2.433  35
1.628  21
1.598  25